# Pm3Ag4Pb2
Computed powder X-ray diffraction pattern, Cu Kα, 1.54184 Å. Input: a PBE-relaxed structure.
Kinematic intensities with the Lorentz-polarization factor, no thermal factor.

```
Pm3Ag4Pb2
1.0
5.6450 -2.4128 0.0000
5.6450 2.4128 0.0000
-4.1281 0.0000 8.4166
Pm Ag Pb
3 4 2
Direct
0.0000 0.0000 0.0000
0.3425 0.3425 0.3222
0.6575 0.6575 0.6778
0.0825 0.0825 0.4245
0.2890 0.2890 0.9623
0.7110 0.7110 0.0377
0.9175 0.9175 0.5755
0.3814 0.3814 0.7201
0.6186 0.6186 0.2799
```

The 8 most intense peaks (2θ from 5° to 70°), in order of rising 2θ:
| two_theta | I_rel |
| --- | --- |
| 31.90 | 28 |
| 32.09 | 30 |
| 32.25 | 68 |
| 32.35 | 61 |
| 36.46 | 100 |
| 37.27 | 49 |
| 62.82 | 22 |
| 64.09 | 20 |

---

# Pm7Ag2Pb2
Computed powder X-ray diffraction pattern, Cu Kα, 1.54184 Å. Input: a PBE-relaxed structure.
Kinematic intensities with the Lorentz-polarization factor, no thermal factor.

```
Pm7Ag2Pb2
1.0
4.2943 -5.8011 0.0000
4.2943 5.8011 0.0000
0.0000 0.0000 7.2571
Pm Ag Pb
7 2 2
Direct
0.0000 0.0000 0.0000
0.0000 0.5000 0.2694
0.0000 0.5000 0.7306
0.5000 0.0000 0.2694
0.5000 0.0000 0.7306
0.5000 0.5000 0.2458
0.5000 0.5000 0.7542
0.2821 0.7179 0.0000
0.7179 0.2821 0.0000
0.1798 0.1798 0.5000
0.8202 0.8202 0.5000
```

The 8 most intense peaks (2θ from 5° to 70°), in order of rising 2θ:
| two_theta | I_rel |
| --- | --- |
| 24.08 | 50 |
| 25.81 | 27 |
| 27.78 | 45 |
| 29.03 | 24 |
| 30.83 | 68 |
| 35.50 | 41 |
| 35.91 | 100 |
| 60.15 | 27 |

---

# TbPm2Ag2Pb2
Computed powder X-ray diffraction pattern, Cu Kα, 1.54184 Å. Input: a PBE-relaxed structure.
Kinematic intensities with the Lorentz-polarization factor, no thermal factor.

```
TbPm2Ag2Pb2
1.0
2.4837 1.4339 8.8055
-2.4837 1.4339 8.8055
0.0000 -2.8679 8.8055
Tb Pm Ag Pb
1 2 2 2
Direct
0.0000 0.0000 0.0000
0.1353 0.1353 0.1353
0.8647 0.8647 0.8647
0.4376 0.4376 0.4376
0.5624 0.5624 0.5624
0.2700 0.2700 0.2700
0.7300 0.7300 0.7300
```

The 8 most intense peaks (2θ from 5° to 70°), in order of rising 2θ:
| two_theta | I_rel |
| --- | --- |
| 24.70 | 11 |
| 31.54 | 100 |
| 34.23 | 14 |
| 36.17 | 89 |
| 48.73 | 30 |
| 62.17 | 29 |
| 64.91 | 11 |
| 65.04 | 16 |